Starting from a structure optimized by DFT (PBE), the X-ray diffraction stick pattern of Dy3Zn11 was computed for CuKα.

Atomic structure:
```
data_Dy3Zn11
_chemical_formula_sum 'Dy6 Zn22'
_cell_length_a 4.4389
_cell_length_b 8.8282
_cell_length_c 12.9431
_cell_angle_alpha 90.00
_cell_angle_beta 90.00
_cell_angle_gamma 90.00
_space_group_name_H-M_alt 'I m m m'
_space_group_IT_number 71
_space_group_name_Hall '-I 2 2'
loop_
_atom_site_label
_atom_site_type_symbol
_atom_site_fract_x
_atom_site_fract_y
_atom_site_fract_z
_atom_site_occupancy
Dy1 Dy 0.0000 0.0000 0.0000 1
Dy2 Dy 0.0000 0.0000 0.2938 1
Zn1 Zn 0.0000 0.1820 0.5000 1
Zn2 Zn 0.0000 0.2800 0.1379 1
Zn3 Zn 0.0000 0.3589 0.3405 1
Zn4 Zn 0.0000 0.5000 0.0000 1
```

Peak list (8 most intense, 10° ≤ 2θ ≤ 90°, sorted by position)
hkl 0 2 4, d 2.610, I = 33
hkl 1 2 3, d 2.533, I = 100
hkl 1 1 4, d 2.507, I = 38
hkl 1 3 0, d 2.453, I = 39
hkl 0 3 3, d 2.431, I = 28
hkl 1 3 2, d 2.294, I = 29
hkl 2 0 0, d 2.219, I = 51
hkl 1 4 7, d 1.350, I = 23

***

Starting from a structure optimized by DFT (PBE), the X-ray diffraction stick pattern of Ce5BiSb4 was computed for CuKα.

Atomic structure:
```
data_Ce5BiSb4
_chemical_formula_sum 'Ce15 Bi3 Sb12'
_cell_length_a 4.5335
_cell_length_b 4.5335
_cell_length_c 55.4574
_cell_angle_alpha 90.00
_cell_angle_beta 90.00
_cell_angle_gamma 120.00
_space_group_name_H-M_alt 'R -3 m'
_space_group_IT_number 166
_space_group_name_Hall '-R 3 2"'
loop_
_atom_site_label
_atom_site_type_symbol
_atom_site_fract_x
_atom_site_fract_y
_atom_site_fract_z
_atom_site_occupancy
Ce1 Ce 0.0000 0.0000 0.0000 1
Ce2 Ce 0.0000 0.0000 0.2019 1
Ce3 Ce 0.0000 0.0000 0.3996 1
Bi1 Bi 0.0000 0.0000 0.5000 1
Sb1 Sb 0.0000 0.0000 0.0995 1
Sb2 Sb 0.0000 0.0000 0.3000 1
```

Peak list (8 most intense, 10° ≤ 2θ ≤ 90°, sorted by position)
hkl 1 0 7, d 3.518, I = 1
hkl 1 0 10, d 3.204, I = 100
hkl 1 1 0, d 2.266, I = 77
hkl 0 2 10, d 1.850, I = 28
hkl 2 0 20, d 1.602, I = 13
hkl 2 1 10, d 1.433, I = 35
hkl 3 0 0, d 1.308, I = 26
hkl 2 2 0, d 1.133, I = 8

***

Starting from a structure optimized by DFT (PBE), the X-ray diffraction stick pattern of TbAl8Cr4 was computed for CuKα.

Atomic structure:
```
data_TbAl8Cr4
_chemical_formula_sum 'Tb2 Al16 Cr8'
_cell_length_a 8.9163
_cell_length_b 8.9163
_cell_length_c 5.0607
_cell_angle_alpha 90.00
_cell_angle_beta 90.00
_cell_angle_gamma 90.00
_space_group_name_H-M_alt 'I 4/m m m'
_space_group_IT_number 139
_space_group_name_Hall '-I 4 2'
loop_
_atom_site_label
_atom_site_type_symbol
_atom_site_fract_x
_atom_site_fract_y
_atom_site_fract_z
_atom_site_occupancy
Tb1 Tb 0.0000 0.0000 0.0000 1
Al1 Al 0.0000 0.2232 0.5000 1
Al2 Al 0.0000 0.3365 0.0000 1
Cr1 Cr 0.2500 0.2500 0.2500 1
```

Peak list (8 most intense, 10° ≤ 2θ ≤ 90°, sorted by position)
hkl 1 1 0, d 6.305, I = 59
hkl 1 0 1, d 4.401, I = 54
hkl 2 2 0, d 3.152, I = 41
hkl 2 1 1, d 3.132, I = 70
hkl 3 0 1, d 2.563, I = 54
hkl 4 0 0, d 2.229, I = 77
hkl 3 2 1, d 2.222, I = 88
hkl 2 0 2, d 2.201, I = 100

***

Starting from a structure optimized by DFT (PBE), the X-ray diffraction stick pattern of LiSbAu was computed for CuKα.

Atomic structure:
```
data_LiSbAu
_chemical_formula_sum 'Li4 Sb4 Au4'
_cell_length_a 6.4450
_cell_length_b 6.4450
_cell_length_c 6.4450
_cell_angle_alpha 90.00
_cell_angle_beta 90.00
_cell_angle_gamma 90.00
_space_group_name_H-M_alt 'F -4 3 m'
_space_group_IT_number 216
_space_group_name_Hall 'F -4 2 3'
loop_
_atom_site_label
_atom_site_type_symbol
_atom_site_fract_x
_atom_site_fract_y
_atom_site_fract_z
_atom_site_occupancy
Li1 Li 0.0000 0.0000 0.0000 1
Sb1 Sb 0.2500 0.2500 0.7500 1
Au1 Au 0.0000 0.0000 0.5000 1
```

Peak list (8 most intense, 10° ≤ 2θ ≤ 90°, sorted by position)
hkl 1 1 1, d 3.721, I = 100
hkl 2 2 0, d 2.279, I = 83
hkl 3 1 1, d 1.943, I = 51
hkl 4 0 0, d 1.611, I = 14
hkl 3 3 1, d 1.479, I = 21
hkl 4 2 2, d 1.316, I = 29
hkl 5 1 1, d 1.240, I = 16
hkl 4 4 0, d 1.139, I = 9